# Sr2VMoO6
Calculated powder diffraction line list, Cu Kα, 1.54184 Å. Input: DFT lattice parameters and positions (PBE+U).
Lines closer than 0.1° are merged.

Crystal structure
```
data_Sr2VMoO6
_cell_length_a 5.631
_cell_length_b 8.108
_cell_length_c 11.327
_cell_angle_alpha 90.00
_cell_angle_beta 90.00
_cell_angle_gamma 90.00
_symmetry_space_group_name_H-M 'A m m 2'
_symmetry_Int_Tables_number 38
loop_
_symmetry_equiv_pos_as_xyz
'x,y,z'
'-x,-y,z'
'-x,y,z'
'x,-y,z'
'x,y+1/2,z+1/2'
'-x,-y+1/2,z+1/2'
'-x,y+1/2,z+1/2'
'x,-y+1/2,z+1/2'
loop_
_atom_site_label
_atom_site_type_symbol
_atom_site_fract_x
_atom_site_fract_y
_atom_site_fract_z
Sr1 Sr 0.000 0.247 0.000
Sr2 Sr 0.500 0.248 0.247
V1 V 0.000 0.000 0.248
V2 V 0.000 0.000 0.750
Mo1 Mo 0.500 0.000 0.499
Mo2 Mo 0.500 0.000 0.996
O1 O 0.000 0.235 0.745
O2 O 0.246 0.000 0.872
O3 O 0.249 0.000 0.124
O4 O 0.254 0.000 0.372
O5 O 0.254 0.000 0.622
O6 O 0.500 0.245 0.498
```

Most intense lines, 2θ = 10–90°, by angle:
d = 2.845 Å, rel. 100, hkl 1 2 2
d = 2.832 Å, rel. 25, hkl 0 0 4
d = 2.815 Å, rel. 24, hkl 2 0 0
d = 2.027 Å, rel. 19, hkl 0 4 0
d = 1.996 Å, rel. 36, hkl 2 0 4
d = 1.637 Å, rel. 19, hkl 1 2 6
d = 1.631 Å, rel. 19, hkl 3 2 2
d = 1.422 Å, rel. 21, hkl 2 4 4

# SrYMo2O8
Calculated powder diffraction line list, Cu Kα, 1.54184 Å. Input: DFT lattice parameters and positions (PBE+U).
Lines closer than 0.1° are merged.

Crystal structure
```
data_SrYMo2O8
_cell_length_a 7.611
_cell_length_b 7.611
_cell_length_c 6.666
_cell_angle_alpha 90.00
_cell_angle_beta 90.00
_cell_angle_gamma 90.00
_symmetry_space_group_name_H-M 'I -4 m 2'
_symmetry_Int_Tables_number 119
_symmetry_space_group_name_Hall 'I -4 -2'
loop_
_atom_site_label
_atom_site_type_symbol
_atom_site_fract_x
_atom_site_fract_y
_atom_site_fract_z
Sr1 Sr 0.000 0.000 0.000
Y1 Y 0.000 0.500 0.750
Mo1 Mo 0.000 0.000 0.500
Mo2 Mo 0.000 0.500 0.250
O1 O 0.000 0.189 0.661
O2 O 0.000 0.322 0.057
```

Most intense lines, 2θ = 10–90°, by angle:
d = 3.806 Å, rel. 100, hkl 2 0 0
d = 2.834 Å, rel. 67, hkl 1 1 2
d = 2.691 Å, rel. 20, hkl 2 2 0
d = 1.951 Å, rel. 59, hkl 3 1 2
d = 1.903 Å, rel. 16, hkl 4 0 0
d = 1.702 Å, rel. 13, hkl 4 2 0
d = 1.580 Å, rel. 18, hkl 3 3 2
d = 1.362 Å, rel. 13, hkl 5 1 2

# Ta12MoO33
Calculated powder diffraction line list, Cu Kα, 1.54184 Å. Input: DFT lattice parameters and positions (PBE+U).
Lines closer than 0.1° are merged.

Crystal structure
```
data_Ta12MoO33
_cell_length_a 22.616
_cell_length_b 3.856
_cell_length_c 17.989
_cell_angle_alpha 90.00
_cell_angle_beta 123.43
_cell_angle_gamma 90.00
_symmetry_space_group_name_H-M 'C 1 2 1'
_symmetry_Int_Tables_number 5
loop_
_symmetry_equiv_pos_as_xyz
'x,y,z'
'-x,y,-z'
'x+1/2,y+1/2,z'
'-x+1/2,y+1/2,-z'
loop_
_atom_site_label
_atom_site_type_symbol
_atom_site_fract_x
_atom_site_fract_y
_atom_site_fract_z
Ta1 Ta 0.035 0.000 0.286
Ta2 Ta 0.083 0.999 0.619
Ta3 Ta 0.131 0.503 0.233
Ta4 Ta 0.134 0.995 0.955
Ta5 Ta 0.201 0.999 0.526
Ta6 Ta 0.247 0.498 0.138
Mo1 Mo 0.000 0.247 0.000
O1 O 0.000 0.999 0.500
O2 O 0.024 0.999 0.673
O3 O 0.035 0.501 0.099
O4 O 0.050 0.500 0.270
O5 O 0.050 0.999 0.844
O6 O 0.072 0.997 0.012
O7 O 0.089 0.499 0.630
O8 O 0.106 0.001 0.232
O9 O 0.122 0.999 0.403
O10 O 0.147 0.999 0.574
O11 O 0.150 0.497 0.990
O12 O 0.175 0.998 0.750
O13 O 0.180 0.498 0.176
O14 O 0.197 0.998 0.917
O15 O 0.208 0.499 0.350
O16 O 0.222 0.499 0.519
O17 O 0.223 0.997 0.102
```

Most intense lines, 2θ = 10–90°, by angle:
d = 3.769 Å, rel. 84, hkl 1 1 -1
d = 3.664 Å, rel. 100, hkl 2 0 3
d = 3.564 Å, rel. 89, hkl 6 0 -4
d = 2.898 Å, rel. 31, hkl 5 1 -3
d = 2.767 Å, rel. 36, hkl 5 1 -4
d = 2.736 Å, rel. 36, hkl 3 1 2
d = 2.555 Å, rel. 44, hkl 4 0 -7
d = 2.343 Å, rel. 45, hkl 3 1 -6

# TbMoO5
Calculated powder diffraction line list, Cu Kα, 1.54184 Å. Input: DFT lattice parameters and positions (PBE+U).
Lines closer than 0.1° are merged.

Crystal structure
```
data_TbMoO5
_cell_length_a 5.380
_cell_length_b 12.621
_cell_length_c 6.963
_cell_angle_alpha 90.00
_cell_angle_beta 117.28
_cell_angle_gamma 90.00
_symmetry_space_group_name_H-M 'P 1 21/c 1'
_symmetry_Int_Tables_number 14
loop_
_symmetry_equiv_pos_as_xyz
'x,y,z'
'-x,-y,-z'
'-x,y+1/2,-z+1/2'
'x,-y+1/2,z+1/2'
loop_
_atom_site_label
_atom_site_type_symbol
_atom_site_fract_x
_atom_site_fract_y
_atom_site_fract_z
Tb1 Tb 0.156 0.059 0.283
Mo1 Mo 0.409 0.135 0.850
O1 O 0.039 0.556 0.985
O2 O 0.202 0.059 0.957
O3 O 0.269 0.236 0.265
O4 O 0.271 0.657 0.419
O5 O 0.485 0.576 0.844
```

Most intense lines, 2θ = 10–90°, by angle:
d = 6.311 Å, rel. 100, hkl 0 2 0
d = 4.472 Å, rel. 61, hkl 1 1 0
d = 3.954 Å, rel. 73, hkl 1 2 -1
d = 3.238 Å, rel. 47, hkl 1 3 -1
d = 3.158 Å, rel. 62, hkl 1 3 0
d = 3.056 Å, rel. 49, hkl 1 1 1
d = 2.815 Å, rel. 87, hkl 1 2 1
d = 2.623 Å, rel. 46, hkl 2 1 -1

# Tb2Mo4O15
Calculated powder diffraction line list, Cu Kα, 1.54184 Å. Input: DFT lattice parameters and positions (PBE+U).
Lines closer than 0.1° are merged.

Crystal structure
```
data_Tb2Mo4O15
_cell_length_a 6.939
_cell_length_b 9.750
_cell_length_c 10.839
_cell_angle_alpha 90.00
_cell_angle_beta 104.99
_cell_angle_gamma 90.00
_symmetry_space_group_name_H-M 'P 1 21/c 1'
_symmetry_Int_Tables_number 14
loop_
_symmetry_equiv_pos_as_xyz
'x,y,z'
'-x,-y,-z'
'-x,y+1/2,-z+1/2'
'x,-y+1/2,z+1/2'
loop_
_atom_site_label
_atom_site_type_symbol
_atom_site_fract_x
_atom_site_fract_y
_atom_site_fract_z
Tb1 Tb 0.207 0.024 0.275
Mo1 Mo 0.081 0.743 0.010
Mo2 Mo 0.384 0.094 0.844
O1 O 0.027 0.128 0.400
O2 O 0.114 0.164 0.100
O3 O 0.127 0.052 0.815
O4 O 0.218 0.651 0.918
O5 O 0.243 0.636 0.617
O6 O 0.385 0.224 0.348
O7 O 0.455 0.027 0.710
O8 O 0.500 0.000 0.000
```

Most intense lines, 2θ = 10–90°, by angle:
d = 4.505 Å, rel. 57, hkl 1 1 1
d = 4.283 Å, rel. 36, hkl 1 1 -2
d = 3.689 Å, rel. 29, hkl 1 0 2
d = 3.568 Å, rel. 100, hkl 0 2 2
d = 3.408 Å, rel. 45, hkl 1 2 -2
d = 3.263 Å, rel. 31, hkl 2 1 -1
d = 3.227 Å, rel. 32, hkl 2 0 -2
d = 2.685 Å, rel. 33, hkl 1 0 -4

# Tb4Mo6O19
Calculated powder diffraction line list, Cu Kα, 1.54184 Å. Input: DFT lattice parameters and positions (PBE+U).
Lines closer than 0.1° are merged.

Crystal structure
```
data_Tb4Mo6O19
_cell_length_a 9.090
_cell_length_b 9.090
_cell_length_c 9.090
_cell_angle_alpha 90.00
_cell_angle_beta 90.00
_cell_angle_gamma 90.00
_symmetry_space_group_name_H-M 'I 2 3'
_symmetry_Int_Tables_number 197
_symmetry_space_group_name_Hall 'I 2 2 3'
loop_
_atom_site_label
_atom_site_type_symbol
_atom_site_fract_x
_atom_site_fract_y
_atom_site_fract_z
Tb1 Tb 0.145 0.145 0.855
Mo1 Mo 0.000 0.359 0.500
O1 O 0.000 0.000 0.000
O2 O 0.000 0.000 0.319
O3 O 0.042 0.333 0.713
```

Most intense lines, 2θ = 10–90°, by angle:
d = 3.711 Å, rel. 93, hkl 2 1 1
d = 2.875 Å, rel. 100, hkl 3 1 0
d = 2.624 Å, rel. 32, hkl 2 2 2
d = 2.430 Å, rel. 43, hkl 3 2 1
d = 2.143 Å, rel. 24, hkl 3 3 0
d = 1.783 Å, rel. 67, hkl 4 1 3
d = 1.660 Å, rel. 38, hkl 5 2 1
d = 1.515 Å, rel. 27, hkl 6 0 0